(1)
Structure and theoretical XRD peak list of V2Ni2O7 (DFT lattice parameters and positions (PBE+U); Cu Ka).

Top 8 peaks for 15° ≤ 2θ ≤ 90°, most intense first:
d/Å  2θ/deg  I (rel.)  index
2.927  30.54  100.0  0 1 3
2.580  34.77  68.7  1 3 0
3.044  29.34  61.5  2 1 0
3.265  27.32  48.0  2 0 0
1.494  62.11  45.6  3 4 -2
2.382  37.77  45.4  2 1 -3
1.484  62.61  45.3  1 4 4
2.767  32.36  45.1  2 1 -2

Crystal structure
```
data_V2Ni2O7
_cell_length_a 6.6318
_cell_length_b 8.4261
_cell_length_c 9.5105
_cell_angle_alpha 90.00
_cell_angle_beta 100.09
_cell_angle_gamma 90.00
_space_group_name_H-M_alt 'P 1 21/c 1'
_space_group_IT_number 14
loop_
_space_group_symop_operation_xyz
'x,y,z'
'-x,-y,-z'
'-x,y+1/2,-z+1/2'
'x,-y+1/2,z+1/2'
loop_
_atom_site_label
_atom_site_type_symbol
_atom_site_fract_x
_atom_site_fract_y
_atom_site_fract_z
V1 V 0.1375 0.2403 0.4687
V2 V 0.3050 0.5194 0.6881
Ni1 Ni 0.1971 0.6128 0.3214
Ni2 Ni 0.3537 0.6211 0.0374
O1 O 0.0740 0.6262 0.1063
O2 O 0.1042 0.1315 0.1246
O3 O 0.1792 0.1240 0.8489
O4 O 0.2452 0.6429 0.8203
O5 O 0.3294 0.6319 0.5407
O6 O 0.3535 0.1197 0.5053
O7 O 0.4706 0.5827 0.2522
```


(2)
Structure and theoretical XRD peak list of V3NiO6 (DFT lattice parameters and positions (PBE+U); Cu Ka).

Top 8 peaks for 15° ≤ 2θ ≤ 90°, most intense first:
d/Å  2θ/deg  I (rel.)  index
2.735  32.75  100.0  1 0 4
2.535  35.40  81.7  1 1 0
1.716  53.40  75.0  2 -1 6
3.719  23.93  50.0  0 1 2
1.859  48.99  39.5  0 2 4
1.464  63.56  38.5  3 0 0
1.499  61.88  33.3  3 -1 4
2.227  40.50  26.7  1 1 3

Crystal structure
```
data_V3NiO6
_cell_length_a 5.0706
_cell_length_b 5.0706
_cell_length_c 13.9824
_cell_angle_alpha 90.00
_cell_angle_beta 90.00
_cell_angle_gamma 120.00
_space_group_name_H-M_alt 'R 3'
_space_group_IT_number 146
_space_group_name_Hall 'R 3'
loop_
_atom_site_label
_atom_site_type_symbol
_atom_site_fract_x
_atom_site_fract_y
_atom_site_fract_z
V1 V 0.0000 0.0000 0.0000
V2 V 0.0000 0.0000 0.2008
V3 V 0.0000 0.0000 0.6996
Ni1 Ni 0.0000 0.0000 0.4986
O1 O 0.0201 0.6672 0.2694
O2 O 0.0389 0.3627 0.7662
```


(3)
Structure and theoretical XRD peak list of V2NiO7 (DFT lattice parameters and positions (PBE+U); Cu Ka).

Top 8 peaks for 15° ≤ 2θ ≤ 90°, most intense first:
d/Å  2θ/deg  I (rel.)  index
5.707  15.53  100.0  1 0 0
3.149  28.34  73.1  0 1 -2
4.829  18.37  52.1  1 0 1
2.771  32.31  44.5  2 0 1
3.048  29.31  43.9  1 0 -2
3.104  28.76  35.0  1 2 1
3.497  25.47  29.6  0 1 2
4.867  18.23  19.7  1 1 0

Crystal structure
```
data_V2NiO7
_cell_length_a 5.9118
_cell_length_b 6.7431
_cell_length_c 7.8211
_cell_angle_alpha 81.60
_cell_angle_beta 82.27
_cell_angle_gamma 76.06
_space_group_name_H-M_alt 'P -1'
_space_group_IT_number 2
loop_
_space_group_symop_operation_xyz
'x,y,z'
'-x,-y,-z'
loop_
_atom_site_label
_atom_site_type_symbol
_atom_site_fract_x
_atom_site_fract_y
_atom_site_fract_z
V1 V 0.1091 0.3507 0.2339
V2 V 0.3002 0.8271 0.9079
Ni1 Ni 0.0848 0.8581 0.3493
O1 O 0.0461 0.5742 0.3154
O2 O 0.0858 0.1568 0.4019
O3 O 0.1155 0.6533 0.9017
O4 O 0.2310 0.0187 0.7457
O5 O 0.2422 0.9194 0.1031
O6 O 0.3752 0.7499 0.4349
O7 O 0.3992 0.3114 0.1265
```


(4)
Structure and theoretical XRD peak list of V2NiO6 (DFT lattice parameters and positions (PBE+U); Cu Ka).

Top 8 peaks for 15° ≤ 2θ ≤ 90°, most intense first:
d/Å  2θ/deg  I (rel.)  index
2.971  30.08  100.0  1 -2 0
2.516  35.68  75.2  0 1 3
3.865  23.01  64.2  1 1 0
2.526  35.53  37.1  0 2 -3
1.612  57.14  31.4  -1 3 3
2.276  39.60  30.3  -1 1 3
2.759  32.45  27.4  1 2 0
3.218  27.72  22.4  1 0 2

Crystal structure
```
data_V2NiO6
_cell_length_a 4.8669
_cell_length_b 7.2608
_cell_length_c 8.9447
_cell_angle_alpha 102.13
_cell_angle_beta 90.13
_cell_angle_gamma 94.32
_space_group_name_H-M_alt 'P -1'
_space_group_IT_number 2
loop_
_space_group_symop_operation_xyz
'x,y,z'
'-x,-y,-z'
loop_
_atom_site_label
_atom_site_type_symbol
_atom_site_fract_x
_atom_site_fract_y
_atom_site_fract_z
V1 V 0.0472 0.2870 0.0330
V2 V 0.0488 0.2861 0.3917
V3 V 0.3837 0.4181 0.7367
Ni1 Ni 0.4930 0.9875 0.8332
Ni2 Ni 0.5000 0.0000 0.5000
O1 O 0.1350 0.7888 0.7997
O2 O 0.1574 0.8324 0.1070
O3 O 0.1570 0.8344 0.5103
O4 O 0.2042 0.4731 0.5774
O5 O 0.2042 0.4757 0.9143
O6 O 0.2896 0.4706 0.2455
O7 O 0.3302 0.1502 0.3594
O8 O 0.3317 0.1530 0.0191
O9 O 0.3934 0.1774 0.6988
```